Structure and theoretical powder diffractogram of TcHgMoH2 (a GGA-PBE-relaxed structure; Cu Kα (weighted mean of Kα1 and Kα2)).
No peak broadening, texture or thermal motion is included.

Structure:
abc: 3.5500 3.5500 5.9485
angles: 90.00 90.00 90.00
Space group P4/mmm (No. 123)
One atom of each set of equivalent atoms:
Tc (0.0000, 0.0000, 0.0000) x1
Hg (0.5000, 0.5000, 0.5000) x1
Mo (0.5000, 0.5000, 0.0000) x1
H (0.0000, 0.5000, 0.5000) x2

Main lines, low angle first (2θ from 5° to 70°):
index  2θ/deg  I/Imax
1 0 0  25.08  611
1 0 1  29.30  881
0 0 2  30.05  820
1 1 0  35.77  1000
1 0 2  39.53  381
1 1 2  47.39  903
2 0 0  51.48  360
1 0 3  52.89  177
2 1 0  58.10  125
2 1 1  60.34  239
2 0 2  60.77  435
2 1 2  66.79  166